The following is a computed powder X-ray diffraction pattern of Al2B3HO8. It was derived from the GGA-PBE geometry in the Materials Project, using Cu Kα (λ = 1.5418 Å).
Kinematic intensities with the Lorentz-polarization factor, no thermal factor.

```
Al2B3HO8
1.0
7.685 0.000 0.000
0.000 10.604 0.000
0.000 0.000 8.913
Al B H O
8 12 4 32
Cartesian
0.478 1.207 0.623
0.478 4.094 0.623
3.364 6.509 5.080
3.364 9.396 5.080
4.321 1.207 3.833
4.321 4.094 3.833
7.207 6.509 8.290
7.207 9.396 8.290
1.767 7.953 3.059
1.885 0.200 7.139
1.885 5.101 7.139
1.958 5.502 2.682
1.958 10.403 2.682
2.075 2.651 7.516
5.610 7.953 1.397
5.728 0.200 6.231
5.728 5.101 6.231
5.800 5.502 1.774
5.800 10.403 1.774
5.918 2.651 5.854
1.351 7.953 7.298
2.492 2.651 2.842
5.194 7.953 6.072
6.335 2.651 1.615
0.550 7.953 7.862
0.903 0.067 8.131
0.903 5.234 8.131
1.391 2.651 8.705
1.411 6.770 2.445
1.411 9.135 2.445
1.570 0.863 1.966
1.570 4.439 1.966
2.272 6.165 6.422
2.272 9.741 6.422
2.432 1.469 6.902
2.432 3.833 6.902
2.451 7.953 4.249
2.940 5.369 3.674
2.940 10.536 3.674
3.293 2.651 3.405
4.393 7.953 5.508
4.746 0.067 5.239
4.746 5.234 5.239
5.234 2.651 4.664
5.254 6.770 2.012
5.254 9.135 2.012
5.413 0.863 2.491
5.413 4.439 2.491
6.115 6.165 6.948
6.115 9.741 6.948
6.274 1.469 6.468
6.274 3.833 6.468
6.294 7.953 0.208
6.783 5.369 0.782
6.783 10.536 0.782
7.135 2.651 1.051
```

Largest 6 diffraction maxima, in order of rising 2θ, 2θ from 10° to 80°:
two_theta	Rel. int.
15.22	1000
17.38	246
23.10	99
24.57	166
30.72	149
41.35	89

=====

The following is a computed powder X-ray diffraction pattern of RbAlBP2HO9. It was derived from the GGA-PBE geometry in the Materials Project, using Cu Kα (λ = 1.5418 Å).
Kinematic intensities with the Lorentz-polarization factor, no thermal factor.

```
RbAlBP2HO9
1.0
9.378 0.000 0.000
0.000 8.531 0.000
-2.263 0.000 9.234
Rb Al B P H O
4 4 4 8 4 36
Cartesian
1.652 0.923 0.560
0.520 3.343 5.177
6.594 5.188 4.057
5.463 7.608 8.674
-0.230 5.579 8.601
0.902 7.218 3.983
6.213 1.313 5.251
7.344 2.952 0.634
1.573 0.422 6.453
2.705 3.843 1.836
4.410 4.688 7.399
5.542 8.108 2.781
0.208 4.825 1.898
-0.924 7.971 6.515
2.243 6.278 6.666
3.375 6.518 2.048
3.740 2.012 7.186
4.872 2.253 2.569
8.039 0.560 2.719
6.907 3.706 7.336
2.512 0.561 4.587
1.380 3.705 9.205
5.735 4.826 0.030
4.603 7.970 4.647
-1.104 4.384 7.437
0.027 8.413 2.820
0.615 5.590 0.632
-0.517 7.206 5.249
0.182 5.711 3.155
-0.949 7.085 7.772
0.152 0.591 6.783
1.283 3.674 2.166
1.647 0.309 4.957
2.779 3.957 0.340
1.341 5.394 7.526
2.473 7.403 2.909
1.955 6.136 5.176
3.086 6.661 0.559
3.311 5.016 2.498
2.180 7.780 7.115
2.235 1.652 6.902
3.367 2.614 2.285
3.748 5.917 6.949
4.880 6.879 2.332
4.935 0.751 2.119
3.803 3.515 6.736
4.028 1.870 8.675
5.160 2.395 4.058
4.642 1.128 6.325
5.774 3.137 1.708
4.336 4.574 8.894
5.467 8.222 4.277
5.831 4.856 7.068
6.963 7.940 2.451
8.064 1.446 1.462
6.932 2.820 6.079
7.632 1.325 3.985
6.500 2.941 8.602
7.087 0.118 6.414
8.219 4.147 1.797
```

Largest 6 diffraction maxima, in order of rising 2θ, 2θ from 10° to 80°:
two_theta	Rel. int.
19.37	414
25.88	1000
30.22	426
30.57	345
31.79	312
32.97	342

=====

The following is a computed powder X-ray diffraction pattern of Y3Al6Si6B3H3O31. It was derived from the GGA-PBE geometry in the Materials Project, using Cu Kα (λ = 1.5418 Å).
Kinematic intensities with the Lorentz-polarization factor, no thermal factor.

```
Y3Al6Si6B3H3O31
1.0
8.315 4.801 2.454
-8.315 4.801 2.454
0.000 -9.601 2.454
Y Al Si B H O
3 6 6 3 3 31
Cartesian
-6.677 -3.855 4.907
6.677 -3.855 4.907
0.000 7.710 4.907
-3.555 -4.318 5.040
-5.517 -0.920 5.040
3.555 -4.318 5.040
-1.962 5.238 5.040
5.517 -0.920 5.040
1.962 5.238 5.040
-1.572 -2.749 2.913
-3.166 0.013 2.913
1.572 -2.749 2.913
-1.594 2.736 2.913
3.166 0.013 2.913
1.594 2.736 2.913
-2.908 -1.679 6.272
2.908 -1.679 6.272
0.000 3.358 6.272
-4.698 -2.712 3.316
4.698 -2.712 3.316
0.000 5.425 3.316
-4.219 -5.725 3.819
-7.067 -0.791 3.819
0.000 0.000 1.037
-1.749 -6.767 3.742
-6.735 1.869 3.742
-2.396 -4.047 3.550
-4.703 -0.051 3.550
-4.759 -2.748 4.291
-2.329 -1.344 3.336
0.000 -2.715 3.458
-2.351 1.357 3.458
1.749 -6.767 3.742
-4.986 4.898 3.742
2.396 -4.047 3.550
-2.307 4.098 3.550
2.329 -1.344 3.336
0.000 2.689 3.336
4.219 -5.725 3.819
-2.849 6.516 3.819
2.351 1.357 3.458
-1.731 -0.999 6.283
4.703 -0.051 3.550
2.307 4.098 3.550
4.759 -2.748 4.291
0.000 5.496 4.291
7.067 -0.791 3.819
2.849 6.516 3.819
1.731 -0.999 6.283
0.000 1.998 6.283
6.735 1.869 3.742
4.986 4.898 3.742
```

Largest 6 diffraction maxima, in order of rising 2θ, 2θ from 10° to 80°:
two_theta	Rel. int.
13.51	1000
20.29	418
21.37	445
24.97	593
33.41	920
42.74	350

=====

The following is a computed powder X-ray diffraction pattern of HoAlB4. It was derived from the GGA-PBE geometry in the Materials Project, using Cu Kα (λ = 1.5418 Å).
Kinematic intensities with the Lorentz-polarization factor, no thermal factor.

```
HoAlB4
1.0
5.945 0.000 0.000
0.000 11.527 0.000
0.000 0.000 3.546
Ho Al B
4 4 16
Cartesian
0.759 1.732 0.000
2.214 7.496 0.000
3.732 4.031 0.000
5.186 9.794 0.000
0.814 4.728 0.000
2.158 10.491 0.000
3.787 1.036 0.000
5.131 6.799 0.000
0.168 7.982 1.773
0.679 6.302 1.773
0.795 11.172 1.773
1.262 9.364 1.773
1.711 3.601 1.773
2.177 5.409 1.773
2.293 0.538 1.773
2.804 2.219 1.773
3.141 9.308 1.773
3.652 10.988 1.773
3.768 6.118 1.773
4.234 7.926 1.773
4.684 2.162 1.773
5.150 0.354 1.773
5.266 5.225 1.773
5.777 3.544 1.773
```

Largest 6 diffraction maxima, in order of rising 2θ, 2θ from 10° to 80°:
two_theta	Rel. int.
21.47	525
25.11	559
31.06	776
33.27	432
37.69	410
40.35	1000

=====

The following is a computed powder X-ray diffraction pattern of Sc2AlB2Ir5. It was derived from the GGA-PBE geometry in the Materials Project, using Cu Kα (λ = 1.5418 Å).
Kinematic intensities with the Lorentz-polarization factor, no thermal factor.

```
Sc2AlB2Ir5
1.0
9.450 0.000 0.000
0.000 9.450 0.000
0.000 0.000 3.026
Sc Al B Ir
4 2 4 10
Cartesian
1.660 3.065 0.000
3.065 7.790 0.000
6.384 1.660 0.000
7.790 6.384 0.000
0.000 0.000 0.000
4.725 4.725 0.000
1.181 5.906 0.000
3.544 1.181 0.000
5.906 8.269 0.000
8.269 3.544 0.000
0.000 4.725 1.513
0.665 7.414 1.513
2.036 0.665 1.513
2.689 5.390 1.513
4.060 2.689 1.513
4.725 0.000 1.513
5.390 6.761 1.513
6.761 4.060 1.513
7.414 8.784 1.513
8.784 2.036 1.513
```

Largest 6 diffraction maxima, in order of rising 2θ, 2θ from 10° to 80°:
two_theta	Rel. int.
29.52	1000
29.90	531
34.21	550
39.31	902
42.52	931
45.80	624

=====

Copy entry 4 word for word.
The following is a computed powder X-ray diffraction pattern of HoAlB4. It was derived from the GGA-PBE geometry in the Materials Project, using Cu Kα (λ = 1.5418 Å).
Kinematic intensities with the Lorentz-polarization factor, no thermal factor.

```
HoAlB4
1.0
5.945 0.000 0.000
0.000 11.527 0.000
0.000 0.000 3.546
Ho Al B
4 4 16
Cartesian
0.759 1.732 0.000
2.214 7.496 0.000
3.732 4.031 0.000
5.186 9.794 0.000
0.814 4.728 0.000
2.158 10.491 0.000
3.787 1.036 0.000
5.131 6.799 0.000
0.168 7.982 1.773
0.679 6.302 1.773
0.795 11.172 1.773
1.262 9.364 1.773
1.711 3.601 1.773
2.177 5.409 1.773
2.293 0.538 1.773
2.804 2.219 1.773
3.141 9.308 1.773
3.652 10.988 1.773
3.768 6.118 1.773
4.234 7.926 1.773
4.684 2.162 1.773
5.150 0.354 1.773
5.266 5.225 1.773
5.777 3.544 1.773
```

Largest 6 diffraction maxima, in order of rising 2θ, 2θ from 10° to 80°:
two_theta	Rel. int.
21.47	525
25.11	559
31.06	776
33.27	432
37.69	410
40.35	1000